1.
Diffraction record for Ce2GaSn3. The powder diffractogram is theoretical, not measured: it uses a cell relaxed with GGA-PBE and copper Kα.
Intensities are scaled so that the largest is 100.

Cell and atoms:
a = 4.4407 Å, b = 4.4407 Å, c = 8.2286 Å
α = 90.00°, β = 90.00°, γ = 90.00°
Space group P-4m2 (No. 115)
Unique sites:
Ce: 0.0000 0.5000 0.1959 x2
Ga: 0.0000 0.0000 0.5000 x1
Sn: 0.0000 0.5000 0.8125 x2
Sn: 0.5000 0.5000 0.5000 x1

Peak list (12 most intense, 2θ = 10–90°, low angle first)
2theta, intensity
28.42, 29
30.47, 66
32.65, 41
35.98, 100
40.63, 54
43.83, 12
53.07, 42
58.82, 18
63.86, 27
67.69, 14
68.91, 19
70.91, 28


2.
Diffraction record for Rb3Zr2P5S18. The powder diffractogram is theoretical, not measured: it uses a cell relaxed with GGA-PBE and copper Kα.
Intensities are scaled so that the largest is 100.

Cell and atoms:
a = 9.8297 Å, b = 9.9697 Å, c = 34.1956 Å
α = 90.00°, β = 96.56°, γ = 90.00°
Space group Cc (No. 9)
Unique sites:
Rb: 0.0000 0.0843 0.0000 x4
Rb: 0.4068 0.3684 0.6834 x4
Rb: 0.4770 0.1075 0.2937 x4
Zr: 0.0577 0.4249 0.5834 x4
Zr: 0.4544 0.1958 0.8914 x4
P: 0.0279 0.2678 0.6679 x4
P: 0.0350 0.3624 0.4872 x4
P: 0.0801 0.2369 0.3073 x4
P: 0.1693 0.0192 0.8730 x4
P: 0.2440 0.3009 0.1023 x4
S: 0.0194 0.0500 0.4046 x4
S: 0.0328 0.4697 0.6577 x4
S: 0.0359 0.3049 0.0979 x4
S: 0.1033 0.1985 0.7199 x4
S: 0.1099 0.1933 0.6200 x4
S: 0.1297 0.0250 0.3114 x4
S: 0.1319 0.2895 0.2552 x4
S: 0.1420 0.2542 0.5317 x4
S: 0.1500 0.4032 0.4424 x4
S: 0.1741 0.2226 0.8764 x4
S: 0.1760 0.3360 0.3551 x4
S: 0.2994 0.1435 0.0693 x4
S: 0.3088 0.4843 0.0844 x4
S: 0.3115 0.2840 0.1637 x4
S: 0.3614 0.0499 0.3920 x4
S: 0.3691 0.2418 0.9608 x4
S: 0.3792 0.2479 0.8171 x4
S: 0.4789 0.0333 0.5150 x4

Peak list (12 most intense, 2θ = 10–90°, low angle first)
2theta, intensity
10.42, 84
12.73, 100
13.16, 65
13.32, 63
17.99, 69
18.17, 93
19.40, 56
25.89, 49
26.23, 62
29.68, 57
30.27, 54
30.88, 57


3.
Diffraction record for TbErGaSe. The powder diffractogram is theoretical, not measured: it uses a cell relaxed with GGA-PBE and copper Kα.
Intensities are scaled so that the largest is 100.

Cell and atoms:
a = 3.9498 Å, b = 3.9498 Å, c = 21.8967 Å
α = 90.00°, β = 90.00°, γ = 120.00°
Space group R3m (No. 160, hexagonal axes)
Unique sites:
Tb: 0.0000 0.0000 0.0000 x3
Er: 0.0000 0.0000 0.5026 x3
Ga: 0.0000 0.0000 0.7523 x3
Se: 0.0000 0.0000 0.2500 x3

Peak list (12 most intense, 2θ = 10–90°, low angle first)
2theta, intensity
24.39, 7
27.31, 17
30.82, 100
42.29, 42
45.95, 33
49.98, 9
56.36, 18
64.21, 12
70.23, 18
74.71, 8
75.57, 15
82.52, 12


4.
Diffraction record for GdIn2Cu9. The powder diffractogram is theoretical, not measured: it uses a cell relaxed with GGA-PBE and copper Kα.
Intensities are scaled so that the largest is 100.

Cell and atoms:
a = 8.4972 Å, b = 8.4972 Å, c = 5.0027 Å
α = 90.00°, β = 90.00°, γ = 90.00°
Space group P4/mbm (No. 127)
Unique sites:
Gd: 0.0000 0.0000 0.0000 x2
In: 0.1242 0.3758 0.0000 x4
Cu: 0.0000 0.5000 0.5000 x2
Cu: 0.0629 0.2043 0.5000 x8
Cu: 0.1766 0.6766 0.2469 x8

Peak list (12 most intense, 2θ = 10–90°, low angle first)
2theta, intensity
33.34, 23
34.83, 22
35.90, 17
38.01, 100
41.91, 30
42.40, 37
43.31, 69
43.93, 33
47.87, 13
65.93, 22
67.54, 16
81.28, 13


5.
Diffraction record for Ta5NbMo. The powder diffractogram is theoretical, not measured: it uses a cell relaxed with GGA-PBE and copper Kα.
Intensities are scaled so that the largest is 100.

Cell and atoms:
a = 5.3485 Å, b = 10.6977 Å, c = 9.0604 Å
α = 90.00°, β = 90.00°, γ = 90.00°
Space group Imma (No. 74)
Unique sites:
Ta: 0.0000 0.1287 0.0026 x8
Ta: 0.0000 0.2500 0.3327 x4
Ta: 0.2500 0.0000 0.2500 x8
Nb: 0.0000 0.2500 0.6657 x4
Mo: 0.0000 0.0000 0.5000 x4

Peak list (12 most intense, 2θ = 10–90°, low angle first)
2theta, intensity
33.51, 21
34.09, 40
37.60, 33
38.13, 32
38.94, 69
39.11, 100
39.80, 21
42.75, 50
43.39, 25
64.14, 33
71.79, 21
83.62, 23


6.
Diffraction record for Ce2PaAl. The powder diffractogram is theoretical, not measured: it uses a cell relaxed with GGA-PBE and copper Kα.
Intensities are scaled so that the largest is 100.

Cell and atoms:
a = 3.1336 Å, b = 3.1336 Å, c = 9.7479 Å
α = 90.00°, β = 90.00°, γ = 90.00°
Space group P4/mmm (No. 123)
Unique sites:
Ce: 0.0000 0.0000 0.2384 x2
Pa: 0.5000 0.5000 0.5000 x1
Al: 0.5000 0.5000 0.0000 x1

Peak list (12 most intense, 2θ = 10–90°, low angle first)
2theta, intensity
27.45, 10
29.95, 24
34.01, 100
36.88, 19
40.72, 31
49.81, 8
55.51, 8
56.10, 23
58.95, 11
64.62, 14
69.84, 25
71.60, 11


7.
Diffraction record for RbLa2TaTi2O10. The powder diffractogram is theoretical, not measured: it uses a cell relaxed with GGA-PBE and copper Kα.
Intensities are scaled so that the largest is 100.

Cell and atoms:
a = 5.4860 Å, b = 5.4854 Å, c = 15.5413 Å
α = 90.00°, β = 90.02°, γ = 90.00°
Space group Cm (No. 8)
Unique sites:
Rb: 0.0000 0.0000 0.0000 x2
La: 0.0013 0.0000 0.6224 x2
La: 0.0021 0.0000 0.3356 x2
Ta: 0.4979 0.0000 0.7748 x2
Ti: 0.0005 0.5000 0.2024 x2
Ti: 0.9999 0.5000 0.4916 x2
O: 0.0003 0.5000 0.0933 x2
O: 0.2456 0.2490 0.5029 x4
O: 0.2474 0.2499 0.7442 x4
O: 0.2504 0.2502 0.2398 x4
O: 0.4954 0.0000 0.6237 x2
O: 0.4967 0.0000 0.3713 x2
O: 0.4977 0.0000 0.8903 x2

Peak list (12 most intense, 2θ = 10–90°, low angle first)
2theta, intensity
11.39, 19
23.64, 16
25.67, 16
28.75, 100
32.64, 64
44.03, 10
46.83, 30
53.08, 19
55.89, 33
63.70, 13
64.63, 13
68.39, 11


8.
Diffraction record for PmFe3Si3. The powder diffractogram is theoretical, not measured: it uses a cell relaxed with GGA-PBE and copper Kα.
Intensities are scaled so that the largest is 100.

Cell and atoms:
a = 6.2855 Å, b = 6.2855 Å, c = 6.2855 Å
α = 90.00°, β = 90.00°, γ = 90.00°
Space group Pm-3n (No. 223)
Unique sites:
Pm: 0.0000 0.0000 0.0000 x2
Fe: 0.0000 0.2500 0.5000 x6
Si: 0.0000 0.5000 0.2500 x6

Peak list (12 most intense, 2θ = 10–90°, low angle first)
2theta, intensity
19.98, 11
28.40, 44
31.84, 9
34.97, 100
45.64, 3
50.29, 2
54.63, 54
58.76, 16
66.53, 15
70.24, 12
84.41, 15
87.87, 10